Diffraction record for LuNiO3. The powder diffraction line list is computed, not measured: it uses a DFT-relaxed cell (GGA+U, Alexandria) and a wavelength of 1.5418 Å.
Peak positions follow from Bragg's law for the DFT cell and can differ from measured ones.

Principal peaks in the range 2θ from 10° to 90°, by angle:
two_theta  I (rel.)  h k l
23.42  17  1 0 1
24.63  14  0 2 0
26.51  42  1 1 1
31.51  15  2 0 0
33.92  26  2 1 0
34.24  100  1 2 1
35.12  26  0 0 2
49.63  35  2 3 0
53.14  24  3 1 1
62.45  20  1 2 3

Atomic structure:
```
data_LuNiO3
_symmetry_space_group_name_H-M 'P 1'
_symmetry_Int_Tables_number 1
_cell_length_a 5.6780
_cell_length_b 7.2290
_cell_length_c 5.1106
_cell_angle_alpha 90.00
_cell_angle_beta 90.00
_cell_angle_gamma 90.00
loop_
_symmetry_equiv_pos_as_xyz
'x,y,z'
loop_
_atom_site_label
_atom_site_type_symbol
_atom_site_fract_x
_atom_site_fract_y
_atom_site_fract_z
Lu1 Lu 0.0893 0.2500 0.0252
Lu2 Lu 0.4107 0.7500 0.5252
Lu3 Lu 0.5893 0.2500 0.4748
Lu4 Lu 0.9107 0.7500 0.9748
Ni1 Ni 0.0000 0.0000 0.5000
Ni2 Ni 0.0000 0.5000 0.5000
Ni3 Ni 0.5000 0.0000 0.0000
Ni4 Ni 0.5000 0.5000 0.0000
O1 O 0.0411 0.7500 0.3782
O2 O 0.1794 0.5564 0.8056
O3 O 0.1794 0.9436 0.8056
O4 O 0.3206 0.0564 0.3056
O5 O 0.3206 0.4436 0.3056
O6 O 0.4589 0.2500 0.8782
O7 O 0.5411 0.7500 0.1218
O8 O 0.6794 0.5564 0.6944
O9 O 0.6794 0.9436 0.6944
O10 O 0.8206 0.0564 0.1944
O11 O 0.8206 0.4436 0.1944
O12 O 0.9589 0.2500 0.6218
```